Structure and theoretical powder X-ray diffraction pattern of MnAgAs2O8 (the GGA+U geometry in Alexandria; copper Kα).

Most intense lines, 2θ from 10° to 90°, low angle first:
2θ 25.7, d = 3.471 Å, rel. 100; 2θ 33.6, d = 2.664 Å, rel. 66; 2θ 36.6, d = 2.454 Å, rel. 18; 2θ 50.6, d = 1.805 Å, rel. 59; 2θ 52.7, d = 1.735 Å, rel. 15; 2θ 64.0, d = 1.454 Å, rel. 18

Structural model:
```
12
Lattice="-3.4707 3.4707 3.1719 3.4707 -3.4707 3.1719 3.4707 3.4707 -3.1719" Properties=species:S:1:pos:R:3 pbc="T T T"
Mn 0.0000 0.0000 0.0000
Ag 0.0000 3.4707 1.5859
As 3.4707 0.0000 1.5859
As 0.0000 0.0000 3.1719
O 2.1671 0.0000 0.4505
O 4.7743 0.0000 0.4505
O 3.4707 2.2421 -1.2211
O 3.4707 -1.3036 2.7213
O 0.0000 1.2286 1.9508
O 3.4707 1.3036 2.7213
O 2.2421 3.4707 1.2211
O 1.2286 0.0000 4.3930
```